Simulated XRD peak list of LaZnFeSnO6 for Cu Kα X-rays, from a structure optimized by DFT (PBE+U).
Intensities are scaled so that the largest is 100.

Structure:
abc: 5.651 5.651 5.651
angles: 60.00 60.00 60.00
Element x y z (fractional)
La1 0.000 0.000 0.000
Zn1 0.750 0.750 0.750
Fe1 0.500 0.500 0.500
Sn1 0.250 0.250 0.250
O1 0.502 0.502 0.998
O2 0.502 0.998 0.502
O3 0.502 0.998 0.998
O4 0.998 0.502 0.502
O5 0.998 0.502 0.998
O6 0.998 0.998 0.502

Largest 10 diffraction maxima, sorted by position, 2θ from 5° to 70°:
d 4.614, 19.2°, I 14.6
d 2.826, 31.7°, I 100.0
d 2.410, 37.3°, I 8.7
d 2.307, 39.0°, I 2.9
d 1.998, 45.4°, I 33.6
d 1.834, 49.7°, I 4.1
d 1.631, 56.4°, I 39.6
d 1.538, 60.2°, I 3.2
d 1.413, 66.1°, I 20.1
d 1.351, 69.6°, I 3.2

Simulated XRD peak list of V2Zn2O7 for Cu Kα X-rays, from a structure optimized by DFT (PBE+U).
Intensities are scaled so that the largest is 100.

Structure:
abc: 5.514 5.514 5.095
angles: 101.47 101.47 101.14
Element x y z (fractional)
V1 0.223 0.223 0.403
V2 0.777 0.777 0.597
Zn1 0.316 0.684 0.000
Zn2 0.684 0.316 0.000
O1 0.000 0.000 0.500
O2 0.047 0.381 0.210
O3 0.381 0.047 0.210
O4 0.419 0.419 0.725
O5 0.581 0.581 0.275
O6 0.619 0.953 0.790
O7 0.953 0.619 0.790

Largest 10 diffraction maxima, sorted by position, 2θ from 5° to 70°:
d 3.258, 27.4°, I 81.5
d 3.197, 27.9°, I 100.0
d 3.185, 28.0°, I 53.6
d 2.621, 34.2°, I 20.9
d 2.611, 34.3°, I 20.0
d 2.228, 40.5°, I 16.8
d 2.048, 44.2°, I 24.5
d 1.675, 54.8°, I 29.2
d 1.619, 56.9°, I 20.5
d 1.527, 60.6°, I 20.0